1.
This entry pairs a crystal structure of Na2VInO4 with its calculated X-ray diffraction stick pattern. Radiation: Cu Ka. Structure: a DFT-relaxed cell (PBE+U, Alexandria).
Intensities are scaled so that the largest is 100.

Principal peaks in the range 5 to 70 degrees two-theta, by intensity:
2theta  I/Imax
16.18  100.0
39.49  82.6
32.68  43.7
39.01  43.1
55.79  37.3
34.38  36.4
57.62  24.5
33.06  22.2
34.07  19.0
16.85  15.2

Cell lengths 5.565, 3.161, 5.792 Å; angles 90.00, 108.95, 90.00 degrees
Space group P2/m (No. 10)
Symmetry-distinct sites (fractional):
Na (0.000, 0.000, 0.000)
Na (0.500, 0.500, 0.000)
V (0.000, 0.500, 0.500)
In (0.500, 0.000, 0.500)
O (0.218, 0.000, 0.702)
O (0.251, 0.500, 0.289)

2.
This entry pairs a crystal structure of NaInW2O8 with its calculated X-ray diffraction stick pattern. Radiation: Cu Ka. Structure: a DFT-relaxed cell (PBE+U, Alexandria).
Intensities are scaled so that the largest is 100.

Principal peaks in the range 5 to 70 degrees two-theta, by intensity:
2theta  I/Imax
28.53  100.0
29.09  93.9
22.97  54.9
8.65  51.8
17.36  51.0
22.82  38.3
34.88  36.6
34.71  34.0
49.42  28.2
50.69  25.3

Cell lengths 10.221, 5.932, 5.170 Å; angles 90.00, 91.49, 90.00 degrees
Space group P2/c (No. 13)
Symmetry-distinct sites (fractional):
Na (0.000, 0.178, 0.250)
In (0.500, 0.178, 0.250)
W (0.256, 0.329, 0.749)
O (0.141, 0.133, 0.624)
O (0.166, 0.405, 0.060)
O (0.366, 0.392, 0.443)
O (0.384, 0.127, 0.895)

3.
This entry pairs a crystal structure of NaIn4WO8 with its calculated X-ray diffraction stick pattern. Radiation: Cu Ka. Structure: a DFT-relaxed cell (PBE+U, Alexandria).
Intensities are scaled so that the largest is 100.

Principal peaks in the range 5 to 70 degrees two-theta, by intensity:
2theta  I/Imax
25.09  100.0
32.56  97.5
31.43  81.1
29.06  73.0
51.50  66.3
47.55  62.5
57.40  42.1
49.94  27.6
67.58  24.2
33.66  22.7

Cell lengths 6.4219, 6.4219, 18.4366 Å; angles 90.00, 90.00, 120.00 degrees
Space group R3m (No. 160, hexagonal axes)
Symmetry-distinct sites (fractional):
Na (0.0000, 0.0000, 0.0000)
In (0.0000, 0.0000, 0.6285)
In (0.1708, 0.3417, 0.8459)
W (0.0000, 0.0000, 0.3919)
O (0.0000, 0.0000, 0.2952)
O (0.0000, 0.0000, 0.7821)
O (0.1710, 0.3420, 0.5750)
O (0.1755, 0.3510, 0.0873)

What did the third record say?
This entry pairs a crystal structure of NaIn4WO8 with its calculated X-ray diffraction stick pattern. Radiation: Cu Ka. Structure: a DFT-relaxed cell (PBE+U, Alexandria).
Intensities are scaled so that the largest is 100.

Principal peaks in the range 5 to 70 degrees two-theta, by intensity:
2theta  I/Imax
25.09  100.0
32.56  97.5
31.43  81.1
29.06  73.0
51.50  66.3
47.55  62.5
57.40  42.1
49.94  27.6
67.58  24.2
33.66  22.7

Cell lengths 6.4219, 6.4219, 18.4366 Å; angles 90.00, 90.00, 120.00 degrees
Space group R3m (No. 160, hexagonal axes)
Symmetry-distinct sites (fractional):
Na (0.0000, 0.0000, 0.0000)
In (0.0000, 0.0000, 0.6285)
In (0.1708, 0.3417, 0.8459)
W (0.0000, 0.0000, 0.3919)
O (0.0000, 0.0000, 0.2952)
O (0.0000, 0.0000, 0.7821)
O (0.1710, 0.3420, 0.5750)
O (0.1755, 0.3510, 0.0873)

Please write out number 3 again, unchanged.
This entry pairs a crystal structure of NaIn4WO8 with its calculated X-ray diffraction stick pattern. Radiation: Cu Ka. Structure: a DFT-relaxed cell (PBE+U, Alexandria).
Intensities are scaled so that the largest is 100.

Principal peaks in the range 5 to 70 degrees two-theta, by intensity:
2theta  I/Imax
25.09  100.0
32.56  97.5
31.43  81.1
29.06  73.0
51.50  66.3
47.55  62.5
57.40  42.1
49.94  27.6
67.58  24.2
33.66  22.7

Cell lengths 6.4219, 6.4219, 18.4366 Å; angles 90.00, 90.00, 120.00 degrees
Space group R3m (No. 160, hexagonal axes)
Symmetry-distinct sites (fractional):
Na (0.0000, 0.0000, 0.0000)
In (0.0000, 0.0000, 0.6285)
In (0.1708, 0.3417, 0.8459)
W (0.0000, 0.0000, 0.3919)
O (0.0000, 0.0000, 0.2952)
O (0.0000, 0.0000, 0.7821)
O (0.1710, 0.3420, 0.5750)
O (0.1755, 0.3510, 0.0873)

What is the formula in the first record?
Na2VInO4